This entry pairs a crystal structure of Fe4O3F5 with its computed PXRD pattern. Radiation: Cu Kα (weighted mean of Kα1 and Kα2). Structure: a crystal structure in the Materials Project, relaxed with GGA+U.
Neutral-atom scattering factors, no anomalous dispersion.

Crystal structure
abc: 4.784 7.815 7.849
angles: 104.10 91.66 91.96
Space group P1 (No. 1)
One atom of each set of equivalent atoms:
Fe1 0.000 0.000 0.000 (multiplicity 1)
Fe2 0.006 0.508 0.524 (multiplicity 1)
Fe3 0.067 0.763 0.268 (multiplicity 1)
Fe4 0.471 0.613 0.881 (multiplicity 1)
Fe5 0.487 0.400 0.129 (multiplicity 1)
Fe6 0.503 0.124 0.373 (multiplicity 1)
Fe7 0.511 0.876 0.634 (multiplicity 1)
Fe8 0.974 0.242 0.729 (multiplicity 1)
O1 0.185 0.456 0.724 (multiplicity 1)
O2 0.195 0.720 0.484 (multiplicity 1)
O3 0.200 0.986 0.224 (multiplicity 1)
O4 0.299 0.599 0.115 (multiplicity 1)
O5 0.790 0.276 0.517 (multiplicity 1)
O6 0.820 0.033 0.790 (multiplicity 1)
F1 0.212 0.226 0.979 (multiplicity 1)
F2 0.296 0.857 0.868 (multiplicity 1)
F3 0.301 0.105 0.593 (multiplicity 1)
F4 0.307 0.349 0.341 (multiplicity 1)
F5 0.694 0.164 0.153 (multiplicity 1)
F6 0.705 0.905 0.390 (multiplicity 1)
F7 0.708 0.646 0.663 (multiplicity 1)
F8 0.712 0.394 0.916 (multiplicity 1)
F9 0.802 0.529 0.283 (multiplicity 1)
F10 0.807 0.780 0.036 (multiplicity 1)

The 10 most intense peaks (2θ = 10–90°), by angle:
d (Å)	I_rel
3.480	100.0
3.306	92.5
2.601	51.2
2.591	50.3
2.310	18.3
1.791	15.8
1.785	31.1
1.783	15.3
1.740	20.7
1.544	21.9

***

This entry pairs a crystal structure of Na4MgMo4O10 with its computed PXRD pattern. Radiation: Cu Kα (weighted mean of Kα1 and Kα2). Structure: a crystal structure in the Materials Project, relaxed with GGA+U.
Neutral-atom scattering factors, no anomalous dispersion.

Crystal structure
abc: 5.861 5.922 8.462
angles: 110.24 109.94 90.46
Space group P1 (No. 1)
One atom of each set of equivalent atoms:
Na1 0.000 0.000 0.000 (multiplicity 1)
Na2 0.133 0.247 0.371 (multiplicity 1)
Na3 0.436 0.545 0.970 (multiplicity 1)
Na4 0.672 0.673 0.341 (multiplicity 1)
Mg1 0.654 0.556 0.669 (multiplicity 1)
Mo1 0.061 0.608 0.162 (multiplicity 1)
Mo2 0.306 0.990 0.670 (multiplicity 1)
Mo3 0.567 0.116 0.177 (multiplicity 1)
Mo4 0.864 0.169 0.670 (multiplicity 1)
O1 0.160 0.731 0.455 (multiplicity 1)
O2 0.328 0.363 0.188 (multiplicity 1)
O3 0.342 0.886 0.210 (multiplicity 1)
O4 0.374 0.948 0.886 (multiplicity 1)
O5 0.435 0.298 0.671 (multiplicity 1)
O6 0.713 0.876 0.671 (multiplicity 1)
O7 0.760 0.299 0.474 (multiplicity 1)
O8 0.790 0.335 0.133 (multiplicity 1)
O9 0.800 0.860 0.157 (multiplicity 1)
O10 0.954 0.494 0.865 (multiplicity 1)

The 10 most intense peaks (2θ = 10–90°), by angle:
d (Å)	I_rel
5.497	56.3
4.183	38.0
4.149	71.7
3.786	37.0
3.693	100.0
2.930	71.7
2.765	67.4
2.752	63.0
2.323	40.3
2.012	37.5

***

Repeat the second record exactly.
This entry pairs a crystal structure of Na4MgMo4O10 with its computed PXRD pattern. Radiation: Cu Kα (weighted mean of Kα1 and Kα2). Structure: a crystal structure in the Materials Project, relaxed with GGA+U.
Neutral-atom scattering factors, no anomalous dispersion.

Crystal structure
abc: 5.861 5.922 8.462
angles: 110.24 109.94 90.46
Space group P1 (No. 1)
One atom of each set of equivalent atoms:
Na1 0.000 0.000 0.000 (multiplicity 1)
Na2 0.133 0.247 0.371 (multiplicity 1)
Na3 0.436 0.545 0.970 (multiplicity 1)
Na4 0.672 0.673 0.341 (multiplicity 1)
Mg1 0.654 0.556 0.669 (multiplicity 1)
Mo1 0.061 0.608 0.162 (multiplicity 1)
Mo2 0.306 0.990 0.670 (multiplicity 1)
Mo3 0.567 0.116 0.177 (multiplicity 1)
Mo4 0.864 0.169 0.670 (multiplicity 1)
O1 0.160 0.731 0.455 (multiplicity 1)
O2 0.328 0.363 0.188 (multiplicity 1)
O3 0.342 0.886 0.210 (multiplicity 1)
O4 0.374 0.948 0.886 (multiplicity 1)
O5 0.435 0.298 0.671 (multiplicity 1)
O6 0.713 0.876 0.671 (multiplicity 1)
O7 0.760 0.299 0.474 (multiplicity 1)
O8 0.790 0.335 0.133 (multiplicity 1)
O9 0.800 0.860 0.157 (multiplicity 1)
O10 0.954 0.494 0.865 (multiplicity 1)

The 10 most intense peaks (2θ = 10–90°), by angle:
d (Å)	I_rel
5.497	56.3
4.183	38.0
4.149	71.7
3.786	37.0
3.693	100.0
2.930	71.7
2.765	67.4
2.752	63.0
2.323	40.3
2.012	37.5

***

Copy entry 1 word for word.
This entry pairs a crystal structure of Fe4O3F5 with its computed PXRD pattern. Radiation: Cu Kα (weighted mean of Kα1 and Kα2). Structure: a crystal structure in the Materials Project, relaxed with GGA+U.
Neutral-atom scattering factors, no anomalous dispersion.

Crystal structure
abc: 4.784 7.815 7.849
angles: 104.10 91.66 91.96
Space group P1 (No. 1)
One atom of each set of equivalent atoms:
Fe1 0.000 0.000 0.000 (multiplicity 1)
Fe2 0.006 0.508 0.524 (multiplicity 1)
Fe3 0.067 0.763 0.268 (multiplicity 1)
Fe4 0.471 0.613 0.881 (multiplicity 1)
Fe5 0.487 0.400 0.129 (multiplicity 1)
Fe6 0.503 0.124 0.373 (multiplicity 1)
Fe7 0.511 0.876 0.634 (multiplicity 1)
Fe8 0.974 0.242 0.729 (multiplicity 1)
O1 0.185 0.456 0.724 (multiplicity 1)
O2 0.195 0.720 0.484 (multiplicity 1)
O3 0.200 0.986 0.224 (multiplicity 1)
O4 0.299 0.599 0.115 (multiplicity 1)
O5 0.790 0.276 0.517 (multiplicity 1)
O6 0.820 0.033 0.790 (multiplicity 1)
F1 0.212 0.226 0.979 (multiplicity 1)
F2 0.296 0.857 0.868 (multiplicity 1)
F3 0.301 0.105 0.593 (multiplicity 1)
F4 0.307 0.349 0.341 (multiplicity 1)
F5 0.694 0.164 0.153 (multiplicity 1)
F6 0.705 0.905 0.390 (multiplicity 1)
F7 0.708 0.646 0.663 (multiplicity 1)
F8 0.712 0.394 0.916 (multiplicity 1)
F9 0.802 0.529 0.283 (multiplicity 1)
F10 0.807 0.780 0.036 (multiplicity 1)

The 10 most intense peaks (2θ = 10–90°), by angle:
d (Å)	I_rel
3.480	100.0
3.306	92.5
2.601	51.2
2.591	50.3
2.310	18.3
1.791	15.8
1.785	31.1
1.783	15.3
1.740	20.7
1.544	21.9